# 1
Diffraction record for CuRhS3. The powder X-ray diffraction pattern is calculated, not measured: it uses the PBE geometry in Alexandria and Cu Kα, 1.54184 Å.

Crystal structure
Cell: 6.6905 6.6905 8.5583 Å, 90.00 90.00 120.00°
Space group R3m (No. 160, hexagonal axes)
Unique sites:
Cu1 0.0000 0.0000 0.0000
Rh1 0.0000 0.0000 0.6313
S1 0.1763 0.3525 0.5213

Top 12 peaks for 10 to 80 degrees two-theta, by angle:
Position (°2θ)  I/Imax  index
18.5  100  1 0 1
25.9  40  0 1 2
26.6  63  1 1 0
37.5  37  2 0 2
41.6  66  1 1 3
42.6  19  2 1 1
46.6  23  1 2 2
47.1  13  3 0 0
54.9  28  2 2 0
57.6  25  0 3 3
63.1  12  2 0 5
71.9  12  1 1 6


# 2
Diffraction record for CuRhS2. The powder X-ray diffraction pattern is calculated, not measured: it uses the PBE geometry in Alexandria and Cu Kα, 1.54184 Å.

Crystal structure
Cell: 5.7131 3.5299 6.4240 Å, 90.00 90.00 90.00°
Space group Pmma (No. 51)
Unique sites:
Cu1 0.2500 0.0000 0.0016
Rh1 0.0000 0.5000 0.5000
S1 0.2500 0.0000 0.3472
S2 0.2500 0.5000 0.7958

Top 12 peaks for 10 to 80 degrees two-theta, by angle:
Position (°2θ)  I/Imax  index
13.8  32  0 0 1
27.8  47  0 0 2
28.9  100  0 1 1
32.9  24  1 1 1
34.4  81  2 0 1
40.6  56  2 1 0
49.8  52  0 1 3
49.9  72  2 1 2
51.8  25  0 2 0
53.5  26  2 0 3
63.6  28  2 2 1
77.7  17  2 2 3


# 3
Diffraction record for TlCuRhS3. The powder X-ray diffraction pattern is calculated, not measured: it uses the PBE geometry in Alexandria and Cu Kα, 1.54184 Å.

Crystal structure
Cell: 3.6219 14.2755 9.3560 Å, 90.00 90.00 90.00°
Space group Cmcm (No. 63)
Unique sites:
Tl1 0.0000 0.2473 0.2500
Cu1 0.0000 0.4655 0.7500
Rh1 0.0000 0.0000 0.0000
S1 0.0000 0.0634 0.7500
S2 0.0000 0.3889 0.5385

Top 12 peaks for 10 to 80 degrees two-theta, by angle:
Position (°2θ)  I/Imax  index
22.7  78  0 2 2
24.9  48  0 4 0
27.1  49  1 1 1
31.5  25  0 4 2
32.5  100  1 3 1
36.6  31  1 3 2
38.5  38  0 0 4
38.6  31  1 1 3
42.7  55  0 6 2
46.4  23  0 4 4
52.4  22  1 7 1
58.8  23  1 3 5


# 4
Diffraction record for CuRhSe. The powder X-ray diffraction pattern is calculated, not measured: it uses the PBE geometry in Alexandria and Cu Kα, 1.54184 Å.

Crystal structure
Cell: 3.5628 3.5628 13.6630 Å, 90.00 90.00 120.00°
Space group R3m (No. 160, hexagonal axes)
Unique sites:
Cu1 0.0000 0.0000 0.0000
Rh1 0.0000 0.0000 0.2084
Se1 0.0000 0.0000 0.7796

Top 12 peaks for 10 to 80 degrees two-theta, by angle:
Position (°2θ)  I/Imax  index
19.5  12  0 0 3
29.7  71  1 0 1
31.8  45  0 1 2
39.4  86  1 0 4
44.3  100  0 1 5
51.3  75  1 1 0
55.7  13  1 0 7
60.4  9  0 2 1
61.0  12  0 0 9
66.5  17  0 2 4
70.0  24  2 0 5
76.2  12  1 0 10


# 5
Diffraction record for Sm2Cu3Rh. The powder X-ray diffraction pattern is calculated, not measured: it uses the PBE geometry in Alexandria and Cu Kα, 1.54184 Å.

Crystal structure
Cell: 3.6954 4.2825 7.4625 Å, 90.00 90.00 90.00°
Space group Pmm2 (No. 25)
Unique sites:
Sm1 0.0000 0.0000 0.0000
Sm2 0.0000 0.5000 0.4723
Cu1 0.5000 0.0000 0.6584
Cu2 0.5000 0.5000 0.1415
Cu3 0.5000 0.5000 0.8160
Rh1 0.5000 0.0000 0.3196

Top 12 peaks for 10 to 80 degrees two-theta, by angle:
Position (°2θ)  I/Imax  index
24.0  8  0 1 1
34.2  100  1 1 1
42.0  33  0 1 3
42.2  17  0 2 0
49.3  11  2 0 0
55.1  8  1 0 4
55.4  16  1 2 2
66.7  16  2 1 3
66.9  8  2 2 0
71.7  6  1 1 5
71.8  7  1 2 4
72.1  8  1 3 1


# 6
Diffraction record for Sm8Cu2Rh. The powder X-ray diffraction pattern is calculated, not measured: it uses the PBE geometry in Alexandria and Cu Kα, 1.54184 Å.

Crystal structure
Cell: 8.4730 13.1267 6.0951 Å, 90.00 111.34 90.00°
Space group Cm (No. 8)
Unique sites:
Sm1 0.0000 0.0000 0.0000
Sm2 0.0826 0.3728 0.8187
Sm3 0.1466 0.1283 0.5827
Sm4 0.2273 0.5000 0.3766
Sm5 0.3642 0.2001 0.1910
Cu1 0.3615 0.3060 0.6900
Rh1 0.3591 0.0000 0.0194

Top 12 peaks for 10 to 80 degrees two-theta, by angle:
Position (°2θ)  I/Imax  index
23.2  25  1 3 0
26.1  32  2 2 -1
30.1  72  1 1 -2
30.4  100  1 3 1
31.5  74  0 4 1
32.0  66  2 0 1
32.6  87  3 1 -1
34.4  77  0 2 2
35.6  50  2 4 0
37.7  71  1 5 -1
38.0  36  3 3 -1
52.6  25  3 3 -3


# 7
Diffraction record for Sm3Cu3Rh2. The powder X-ray diffraction pattern is calculated, not measured: it uses the PBE geometry in Alexandria and Cu Kα, 1.54184 Å.

Crystal structure
Cell: 4.1793 10.1843 15.3248 Å, 90.00 90.00 90.00°
Space group Cmcm (No. 63)
Unique sites:
Sm1 0.0000 0.0990 0.0989
Sm2 0.0000 0.3744 0.2500
Cu1 0.0000 0.3375 0.7500
Cu2 0.0000 0.3911 0.0378
Rh1 0.0000 0.1996 0.6108

Top 12 peaks for 10 to 80 degrees two-theta, by angle:
Position (°2θ)  I/Imax  index
25.8  16  1 1 2
32.9  100  1 1 4
34.5  58  1 3 1
35.1  31  0 0 6
35.3  24  0 4 0
38.4  41  1 3 3
39.5  20  0 4 3
41.6  49  1 3 4
43.3  42  2 0 0
57.0  34  2 0 6
65.5  17  1 1 10
72.8  18  3 1 4


# 8
Diffraction record for Sm2CuRh. The powder X-ray diffraction pattern is calculated, not measured: it uses the PBE geometry in Alexandria and Cu Kα, 1.54184 Å.

Crystal structure
Cell: 5.6645 4.4225 7.7407 Å, 90.00 110.21 90.00°
Space group P2_1/m (No. 11)
Unique sites:
Sm1 0.2187 0.2500 0.4343
Sm2 0.2267 0.2500 0.9284
Cu1 0.3501 0.7500 0.2125
Rh1 0.3431 0.7500 0.7138

Top 12 peaks for 10 to 80 degrees two-theta, by angle:
Position (°2θ)  I/Imax  index
26.2  19  1 1 0
31.9  100  1 1 -2
33.7  26  2 0 0
34.2  16  2 0 -2
34.4  17  1 0 2
39.6  20  2 1 0
40.0  29  2 1 -2
40.1  29  1 1 2
40.8  30  0 2 0
47.0  20  1 0 -4
53.9  14  2 2 0
63.9  15  1 2 -4